# CaFe2S4
Computed X-ray powder pattern, Cu Kα, 1.54184 Å. Input: a crystal structure in the Materials Project, relaxed with PBE.
Peak positions follow from Bragg's law for the DFT cell and can differ from measured ones.

Cell and atoms:
Cell lengths 7.1057, 7.1057, 10.4805 Å; angles 90.00, 90.00, 90.00 degrees
Space group I4_1/amd (No. 141, origin choice 2)
Asymmetric unit:
Ca 0.0000 0.2500 0.3750 (multiplicity 4)
Fe 0.0000 0.0000 0.0000 (multiplicity 8)
S 0.0000 0.0391 0.7789 (multiplicity 16)

Main lines, by angle (2θ from 15° to 90°):
2θ = 15.1°, d 5.881, intensity 100; 2θ = 24.5°, d 3.627, intensity 27; 2θ = 28.5°, d 3.135, intensity 29; 2θ = 29.4°, d 3.041, intensity 80; 2θ = 34.2°, d 2.620, intensity 29; 2θ = 35.7°, d 2.512, intensity 61; 2θ = 45.1°, d 2.010, intensity 37; 2θ = 46.9°, d 1.937, intensity 58; 2θ = 50.3°, d 1.813, intensity 69; 2θ = 51.4°, d 1.776, intensity 36

# HgSO4
Computed X-ray powder pattern, Cu Kα, 1.54184 Å. Input: a crystal structure in the Materials Project, relaxed with PBE.
Peak positions follow from Bragg's law for the DFT cell and can differ from measured ones.

Cell and atoms:
Cell lengths 5.1780, 14.1389, 11.6484 Å; angles 90.00, 101.27, 90.00 degrees
Space group P2_1/c (No. 14)
Asymmetric unit:
Hg 0.1574 0.1379 0.3197 (multiplicity 4)
Hg 0.2096 0.1360 0.1029 (multiplicity 4)
S 0.1591 0.6272 0.9642 (multiplicity 4)
S 0.4863 0.6132 0.6230 (multiplicity 4)
O 0.0904 0.5567 0.8683 (multiplicity 4)
O 0.0911 0.1615 0.4998 (multiplicity 4)
O 0.2679 0.7066 0.9040 (multiplicity 4)
O 0.2749 0.1472 0.9223 (multiplicity 4)
O 0.2823 0.5754 0.5276 (multiplicity 4)
O 0.3453 0.5911 0.0662 (multiplicity 4)
O 0.3931 0.6935 0.6864 (multiplicity 4)
O 0.4345 0.0394 0.7857 (multiplicity 4)

Main lines, by angle (2θ from 15° to 90°):
2θ = 18.6°, d 4.779, intensity 93; 2θ = 21.4°, d 4.146, intensity 74; 2θ = 24.1°, d 3.697, intensity 79; 2θ = 25.2°, d 3.535, intensity 100; 2θ = 25.9°, d 3.436, intensity 33; 2θ = 28.0°, d 3.191, intensity 57; 2θ = 32.0°, d 2.799, intensity 31; 2θ = 36.4°, d 2.471, intensity 44; 2θ = 39.0°, d 2.307, intensity 35; 2θ = 48.5°, d 1.876, intensity 42

# Ba3Ga2S6
Computed X-ray powder pattern, Cu Kα, 1.54184 Å. Input: a crystal structure in the Materials Project, relaxed with PBE.
Peak positions follow from Bragg's law for the DFT cell and can differ from measured ones.

Cell and atoms:
Cell lengths 9.1714, 14.5852, 9.2297 Å; angles 90.00, 91.73, 90.00 degrees
Space group C2/c (No. 15)
Asymmetric unit:
Ba 0.0000 0.0354 0.2500 (multiplicity 4)
Ba 0.0962 0.3621 0.0094 (multiplicity 8)
Ga 0.1828 0.1629 0.5677 (multiplicity 8)
S 0.0611 0.1413 0.9593 (multiplicity 8)
S 0.1802 0.4509 0.3325 (multiplicity 8)
S 0.2223 0.3079 0.6653 (multiplicity 8)

Main lines, by angle (2θ from 15° to 90°):
2θ = 19.2°, d 4.613, intensity 38; 2θ = 22.7°, d 3.921, intensity 73; 2θ = 22.8°, d 3.898, intensity 52; 2θ = 22.9°, d 3.876, intensity 56; 2θ = 24.7°, d 3.610, intensity 91; 2θ = 31.3°, d 2.861, intensity 100; 2θ = 31.6°, d 2.834, intensity 38; 2θ = 31.7°, d 2.821, intensity 69; 2θ = 33.0°, d 2.712, intensity 42; 2θ = 43.4°, d 2.085, intensity 45

# BaMn28
Computed X-ray powder pattern, Cu Kα, 1.54184 Å. Input: a crystal structure in the Materials Project, relaxed with PBE.
Peak positions follow from Bragg's law for the DFT cell and can differ from measured ones.

Cell and atoms:
Cell lengths 8.8383, 8.8383, 8.8383 Å; angles 90.00, 90.00, 90.00 degrees
Space group I-43m (No. 217)
Asymmetric unit:
Ba 0.0000 0.0000 0.0000 (multiplicity 2)
Mn 0.0350 0.3566 0.6434 (multiplicity 24)
Mn 0.0925 0.0925 0.7053 (multiplicity 24)
Mn 0.1914 0.1914 0.1914 (multiplicity 8)

Main lines, by angle (2θ from 15° to 90°):
2θ = 32.0°, d 2.795, intensity 5; 2θ = 38.1°, d 2.362, intensity 6; 2θ = 43.4°, d 2.083, intensity 100; 2θ = 48.3°, d 1.884, intensity 20; 2θ = 50.6°, d 1.804, intensity 11; 2θ = 52.8°, d 1.733, intensity 9; 2θ = 74.4°, d 1.276, intensity 5; 2θ = 76.2°, d 1.250, intensity 10; 2θ = 79.7°, d 1.203, intensity 20; 2θ = 86.8°, d 1.122, intensity 4

# MgTi4Cu3O12
Computed X-ray powder pattern, Cu Kα, 1.54184 Å. Input: a crystal structure in the Materials Project, relaxed with PBE.
Peak positions follow from Bragg's law for the DFT cell and can differ from measured ones.

Cell and atoms:
Cell lengths 7.4206, 7.4206, 7.4206 Å; angles 90.00, 90.00, 90.00 degrees
Space group Im-3 (No. 204)
Asymmetric unit:
Mg 0.0000 0.0000 0.0000 (multiplicity 2)
Ti 0.2500 0.2500 0.2500 (multiplicity 8)
Cu 0.0000 0.0000 0.5000 (multiplicity 6)
O 0.0000 0.1754 0.3008 (multiplicity 24)

Main lines, by angle (2θ from 15° to 90°):
2θ = 16.9°, d 5.247, intensity 8; 2θ = 29.5°, d 3.029, intensity 10; 2θ = 34.2°, d 2.624, intensity 100; 2θ = 38.4°, d 2.347, intensity 8; 2θ = 42.2°, d 2.142, intensity 5; 2θ = 45.7°, d 1.983, intensity 5; 2θ = 49.1°, d 1.855, intensity 30; 2θ = 61.2°, d 1.515, intensity 51; 2θ = 72.0°, d 1.312, intensity 13; 2θ = 82.2°, d 1.173, intensity 16

# NaEuDySbO6
Computed X-ray powder pattern, Cu Kα, 1.54184 Å. Input: a crystal structure in the Materials Project, relaxed with PBE.
Peak positions follow from Bragg's law for the DFT cell and can differ from measured ones.

Cell and atoms:
Cell lengths 8.3413, 8.3413, 8.3413 Å; angles 90.00, 90.00, 90.00 degrees
Space group F-43m (No. 216)
Asymmetric unit:
Na 0.0000 0.0000 0.0000 (multiplicity 4)
Eu 0.0000 0.0000 0.5000 (multiplicity 4)
Dy 0.2500 0.2500 0.2500 (multiplicity 4)
Sb 0.2500 0.2500 0.7500 (multiplicity 4)
O 0.0127 0.2500 0.7500 (multiplicity 24)

Main lines, by angle (2θ from 15° to 90°):
2θ = 18.4°, d 4.816, intensity 21; 2θ = 21.3°, d 4.171, intensity 13; 2θ = 30.3°, d 2.949, intensity 100; 2θ = 35.7°, d 2.515, intensity 13; 2θ = 43.4°, d 2.085, intensity 31; 2θ = 53.8°, d 1.703, intensity 40; 2θ = 63.0°, d 1.475, intensity 19; 2θ = 71.5°, d 1.319, intensity 18; 2θ = 79.6°, d 1.204, intensity 6; 2θ = 87.5°, d 1.115, intensity 21